[1]
Diffraction record for HfNiSb. The X-ray powder pattern is calculated, not measured: it uses the PBE geometry in the Materials Project and Cu Kα (weighted mean of Kα1 and Kα2).
Lines closer than 0.1° are merged.

Peak list (10 most intense, 2θ from 10° to 80°, most intense first)
Position (°2θ)	I/Imax
40.57	100
24.51	51
73.80	33
47.97	26
58.71	17
28.38	14
64.58	11
79.11	8
66.48	5
50.25	4

Structure:
a = 4.448 Å, b = 4.448 Å, c = 4.448 Å
α = 60.00°, β = 60.00°, γ = 60.00°
Fractional positions:
Hf: 0.000 0.000 0.000
Ni: 0.500 0.500 0.500
Sb: 0.250 0.250 0.250

[2]
Diffraction record for CeMg3. The X-ray powder pattern is calculated, not measured: it uses the PBE geometry in the Materials Project and Cu Kα (weighted mean of Kα1 and Kα2).
Lines closer than 0.1° are merged.

Peak list (10 most intense, 2θ from 10° to 80°, most intense first)
Position (°2θ)	I/Imax
36.48	100
33.62	44
15.89	44
32.62	38
46.41	29
32.09	28
68.03	23
40.86	22
60.10	22
23.93	21

Structure:
a = 3.170 Å, b = 3.170 Å, c = 11.156 Å
α = 90.00°, β = 90.00°, γ = 120.00°
Fractional positions:
Ce: 0.000 0.000 0.000
Mg: 0.000 0.000 0.500
Mg: 0.667 0.333 0.265
Mg: 0.667 0.333 0.735

[3]
Diffraction record for Hf8MgN8O4. The X-ray powder pattern is calculated, not measured: it uses the PBE geometry in the Materials Project and Cu Kα (weighted mean of Kα1 and Kα2).
Lines closer than 0.1° are merged.

Peak list (10 most intense, 2θ from 10° to 80°, most intense first)
Position (°2θ)	I/Imax
30.79	100
31.66	98
33.12	83
31.79	78
33.56	58
32.67	53
32.79	38
26.58	38
46.62	32
49.73	30

Structure:
a = 5.415 Å, b = 5.528 Å, c = 10.429 Å
α = 83.14°, β = 87.82°, γ = 62.14°
Fractional positions:
Hf: 0.000 0.000 0.000
Hf: 0.003 0.037 0.699
Hf: 0.288 0.467 0.464
Hf: 0.331 0.391 0.764
Hf: 0.633 0.787 0.530
Hf: 0.639 0.877 0.229
Hf: 0.677 0.697 0.932
Hf: 0.985 0.184 0.313
Mg: 0.333 0.476 0.161
N: 0.023 0.715 0.614
N: 0.298 0.737 0.843
N: 0.310 0.130 0.612
N: 0.343 0.804 0.371
N: 0.688 0.052 0.854
N: 0.762 0.203 0.151
N: 0.915 0.556 0.373
N: 0.934 0.679 0.082
O: 0.002 0.344 0.861
O: 0.397 0.815 0.088
O: 0.631 0.424 0.621
O: 0.664 0.115 0.405